For Rb2BaAsF6, the PBE geometry in Alexandria gives the theoretical XRD peak list in this record (Cu Kα (weighted mean of Kα1 and Kα2)).
No peak broadening, texture or thermal motion is included.

Structure:
Unit cell a=6.503 b=6.503 c=11.496 alpha=90.00 beta=90.00 gamma=90.00
Space group I4/mmm (No. 139)
Asymmetric unit:
Rb1 0.000 0.500 0.250 [4 per cell]
Ba1 0.000 0.000 0.000 [2 per cell]
As1 0.000 0.000 0.500 [2 per cell]
F1 0.000 0.000 0.220 [4 per cell]
F2 0.223 0.223 0.500 [8 per cell]

The 8 most intense peaks (5 to 70 degrees two-theta), in order of rising 2θ:
| 2theta | d_spacing | Rel. int. |
| --- | --- | --- |
| 24.80 | 3.591 | 100.0 |
| 27.43 | 3.251 | 38.7 |
| 31.12 | 2.874 | 28.3 |
| 39.18 | 2.299 | 29.5 |
| 41.96 | 2.153 | 23.1 |
| 46.93 | 1.936 | 34.0 |
| 50.86 | 1.795 | 25.4 |
| 51.68 | 1.769 | 14.8 |